[1]
Structure and simulated powder X-ray diffraction pattern of K3MoF6 (a DFT-relaxed cell (PBE+U, Alexandria); Cu Kα X-rays).
No peak broadening, texture or thermal motion is included.

Main lines, in order of rising 2θ (10° ≤ 2θ ≤ 80°):
2θ/deg	intensity
16.7	34.9
19.3	34.4
27.4	100.0
32.3	10.3
39.2	59.5
44.0	13.3
48.5	35.8
51.7	8.3
56.6	33.7
64.1	17.8
71.0	10.0
77.7	19.3

Atomic structure:
```
K3MoF6
1.0
0.000 4.597 4.597
4.597 0.000 4.597
4.597 4.597 0.000
K Mo F
3 1 6
Direct
0.000 0.000 0.000
0.250 0.250 0.250
0.750 0.750 0.750
0.500 0.500 0.500
0.272 0.272 0.728
0.272 0.728 0.272
0.272 0.728 0.728
0.728 0.272 0.272
0.728 0.272 0.728
0.728 0.728 0.272
```

[2]
Structure and simulated powder X-ray diffraction pattern of K2NaMoF8 (a DFT-relaxed cell (PBE+U, Alexandria); Cu Kα X-rays).
No peak broadening, texture or thermal motion is included.

Main lines, in order of rising 2θ (10° ≤ 2θ ≤ 80°):
2θ/deg	intensity
11.2	82.0
14.7	30.2
18.4	35.5
18.5	36.6
22.8	100.0
24.0	58.8
26.8	28.6
27.0	25.8
28.8	31.2
29.1	28.6
41.4	24.4
45.7	29.3

Atomic structure:
```
K2NaMoF8
1.0
4.901 0.000 0.000
0.317 6.040 0.000
0.076 0.066 7.934
K Na Mo F
2 1 1 8
Direct
0.012 0.003 0.228
0.988 0.997 0.772
0.500 0.500 0.000
0.500 0.500 0.500
0.234 0.784 0.997
0.251 0.762 0.502
0.297 0.359 0.674
0.303 0.370 0.321
0.697 0.630 0.679
0.703 0.641 0.326
0.749 0.238 0.498
0.766 0.216 0.003
```

[3]
Structure and simulated powder X-ray diffraction pattern of K2NaMoO3F3 (a DFT-relaxed cell (PBE+U, Alexandria); Cu Kα X-rays).
No peak broadening, texture or thermal motion is included.

Main lines, in order of rising 2θ (10° ≤ 2θ ≤ 80°):
2θ/deg	intensity
17.9	92.5
20.9	25.5
29.4	100.0
29.7	48.7
34.9	19.4
41.5	26.9
42.5	53.7
51.9	19.9
52.5	33.9
60.9	28.3
61.7	14.4
77.1	12.5

Atomic structure:
```
K2NaMoO3F3
1.0
6.013 0.000 0.000
0.000 6.013 0.000
0.000 0.000 8.701
K Na Mo O F
4 2 2 6 6
Direct
0.000 0.500 0.000
0.000 0.500 0.500
0.500 0.000 0.000
0.500 0.000 0.500
0.000 0.000 0.241
0.500 0.500 0.741
0.000 0.000 0.757
0.500 0.500 0.257
0.000 0.000 0.962
0.212 0.212 0.718
0.288 0.712 0.218
0.500 0.500 0.462
0.712 0.288 0.218
0.788 0.788 0.718
0.000 0.000 0.501
0.237 0.763 0.739
0.263 0.263 0.239
0.500 0.500 0.001
0.737 0.737 0.239
0.763 0.237 0.739
```

[4]
Structure and simulated powder X-ray diffraction pattern of K2NaMoO3F3 (a DFT-relaxed cell (PBE+U, Alexandria); Cu Kα X-rays).
No peak broadening, texture or thermal motion is included.

Main lines, in order of rising 2θ (10° ≤ 2θ ≤ 80°):
2θ/deg	intensity
17.9	100.0
21.2	15.7
29.1	48.7
29.6	60.4
29.8	52.2
41.3	29.4
42.0	31.2
43.2	26.8
51.8	21.7
52.2	22.2
60.4	16.0
61.9	15.6

Atomic structure:
```
K2NaMoO3F3
1.0
0.000 4.298 4.369
4.186 0.000 4.369
4.186 4.298 0.000
K Na Mo O F
2 1 1 3 3
Direct
0.000 0.000 0.500
0.500 0.500 0.000
0.260 0.260 0.740
0.744 0.744 0.256
0.540 0.540 0.460
0.570 0.999 0.430
0.999 0.570 0.001
0.000 0.000 0.000
0.524 0.996 0.004
0.996 0.524 0.476
```

[5]
Structure and simulated powder X-ray diffraction pattern of KNaMoO2F4 (a DFT-relaxed cell (PBE+U, Alexandria); Cu Kα X-rays).
No peak broadening, texture or thermal motion is included.

Main lines, in order of rising 2θ (10° ≤ 2θ ≤ 80°):
2θ/deg	intensity
10.5	28.0
18.0	100.0
20.6	59.1
21.0	33.0
29.3	25.1
29.6	59.5
34.6	22.5
41.9	45.0
42.8	17.7
47.4	13.2
52.2	22.1
61.5	20.0

Atomic structure:
```
KNaMoO2F4
1.0
6.093 0.000 0.000
0.000 6.093 0.000
0.000 0.000 8.442
K Na Mo O F
2 2 2 4 8
Direct
0.250 0.750 0.000
0.750 0.250 0.000
0.250 0.250 0.277
0.750 0.750 0.723
0.250 0.250 0.758
0.750 0.750 0.242
0.250 0.250 0.548
0.250 0.250 0.977
0.750 0.750 0.023
0.750 0.750 0.452
0.021 0.021 0.767
0.021 0.479 0.767
0.479 0.021 0.767
0.479 0.479 0.767
0.521 0.521 0.233
0.521 0.979 0.233
0.979 0.521 0.233
0.979 0.979 0.233
```

[6]
Structure and simulated powder X-ray diffraction pattern of K5Mo4O14F (a DFT-relaxed cell (PBE+U, Alexandria); Cu Kα X-rays).
No peak broadening, texture or thermal motion is included.

Main lines, in order of rising 2θ (10° ≤ 2θ ≤ 80°):
2θ/deg	intensity
14.5	70.5
16.2	100.0
26.3	38.5
26.5	41.0
26.7	68.6
27.3	36.3
28.7	20.9
29.3	53.2
31.3	26.1
31.9	33.5
35.5	16.3
37.6	15.5

Atomic structure:
```
K5Mo4O14F
1.0
9.109 -5.460 0.000
9.109 5.460 0.000
-1.217 0.000 8.623
K Mo O F
10 8 28 2
Direct
0.061 0.939 0.750
0.095 0.340 0.148
0.323 0.452 0.723
0.340 0.095 0.648
0.452 0.323 0.223
0.548 0.677 0.777
0.660 0.905 0.352
0.677 0.548 0.277
0.905 0.660 0.852
0.939 0.061 0.250
0.069 0.638 0.409
0.201 0.698 0.074
0.302 0.799 0.426
0.362 0.931 0.091
0.638 0.069 0.909
0.698 0.201 0.574
0.799 0.302 0.926
0.931 0.362 0.591
0.031 0.821 0.994
0.033 0.697 0.605
0.087 0.356 0.697
0.126 0.754 0.311
0.179 0.969 0.506
0.190 0.534 0.056
0.204 0.457 0.402
0.246 0.874 0.189
0.303 0.967 0.895
0.319 0.673 0.932
0.327 0.681 0.568
0.356 0.087 0.197
0.457 0.204 0.902
0.466 0.810 0.444
0.534 0.190 0.556
0.543 0.796 0.098
0.644 0.913 0.803
0.673 0.319 0.432
0.681 0.327 0.068
0.697 0.033 0.105
0.754 0.126 0.811
0.796 0.543 0.598
0.810 0.466 0.944
0.821 0.031 0.494
0.874 0.246 0.689
0.913 0.644 0.303
0.967 0.303 0.395
0.969 0.179 0.006
0.390 0.610 0.250
0.610 0.390 0.750
```

[7]
Structure and simulated powder X-ray diffraction pattern of K2TlMoF8 (a DFT-relaxed cell (PBE+U, Alexandria); Cu Kα X-rays).
No peak broadening, texture or thermal motion is included.

Main lines, in order of rising 2θ (10° ≤ 2θ ≤ 80°):
2θ/deg	intensity
14.9	100.0
20.2	32.9
22.2	32.6
23.6	73.4
26.5	57.1
26.6	59.1
27.1	53.9
30.0	36.4
40.6	31.2
41.1	25.5
41.7	30.7
45.3	35.7

Atomic structure:
```
K2TlMoF8
1.0
4.429 0.000 0.000
0.736 5.961 0.000
0.083 0.205 8.013
K Tl Mo F
2 1 1 8
Direct
0.012 0.006 0.256
0.988 0.994 0.744
0.500 0.500 0.000
0.500 0.500 0.500
0.037 0.722 0.008
0.109 0.696 0.506
0.404 0.290 0.685
0.419 0.306 0.299
0.581 0.694 0.701
0.596 0.710 0.315
0.891 0.304 0.494
0.963 0.278 0.992
```

[8]
Structure and simulated powder X-ray diffraction pattern of K2ZnMoF6 (a DFT-relaxed cell (PBE+U, Alexandria); Cu Kα X-rays).
No peak broadening, texture or thermal motion is included.

Main lines, in order of rising 2θ (10° ≤ 2θ ≤ 80°):
2θ/deg	intensity
20.7	44.3
21.0	21.4
29.0	26.8
29.7	100.0
29.9	24.4
42.2	54.4
42.7	26.3
48.0	14.0
51.9	19.6
52.5	9.6
53.0	27.6
61.6	30.5

Atomic structure:
```
K2ZnMoF6
1.0
-2.988 3.076 4.235
2.988 -3.076 4.235
2.988 3.076 -4.235
K Zn Mo F
2 1 1 6
Direct
0.248 0.248 0.000
0.752 0.752 0.000
0.000 0.500 0.500
0.500 0.000 0.500
0.233 0.257 0.490
0.233 0.743 0.976
0.244 0.744 0.500
0.756 0.256 0.500
0.767 0.257 0.024
0.767 0.743 0.510
```